(1)
Sc8TlS4: calculated PXRD pattern (Cu Kα, 1.54184 Å), based on a crystal structure in Alexandria, relaxed with GGA-PBE.
Neutral-atom scattering factors, no anomalous dispersion.

```
data_Sc8TlS4
_cell_length_a 17.277
_cell_length_b 3.632
_cell_length_c 12.213
_cell_angle_alpha 90.00
_cell_angle_beta 134.98
_cell_angle_gamma 90.00
_symmetry_space_group_name_H-M 'C 1 2/m 1'
_symmetry_Int_Tables_number 12
_symmetry_space_group_name_Hall '-C 2y'
loop_
_atom_site_label
_atom_site_type_symbol
_atom_site_fract_x
_atom_site_fract_y
_atom_site_fract_z
Sc1 Sc 0.046 0.000 0.200
Sc2 Sc 0.132 0.500 0.800
Sc3 Sc 0.154 0.500 0.108
Sc4 Sc 0.168 0.500 0.537
Tl1 Tl 0.000 0.000 0.500
S1 S 0.156 0.000 0.968
S2 S 0.187 0.500 0.343
```

Peak list (12 most intense, 2θ from 10° to 90°, sorted by position)
| 2θ (°) | Rel. int. | (hkl) |
| --- | --- | --- |
| 10.24 | 45.4 | 0 0 1 |
| 20.56 | 22.9 | 4 0 -2 |
| 23.02 | 46.7 | 2 0 -3 |
| 29.53 | 21.7 | 3 1 -1 |
| 31.06 | 26.0 | 6 0 -3 |
| 32.78 | 27.0 | 2 0 -4 |
| 33.05 | 100.0 | 3 1 0 |
| 36.26 | 33.7 | 5 1 -2 |
| 39.24 | 38.5 | 5 1 -4 |
| 44.50 | 19.5 | 6 0 0 |
| 54.31 | 25.2 | 1 1 4 |
| 56.53 | 19.1 | 9 1 -3 |

=====

(2)
Pr2MnPt9: calculated PXRD pattern (Cu Kα, 1.54184 Å), based on a crystal structure in Alexandria, relaxed with GGA-PBE.
Neutral-atom scattering factors, no anomalous dispersion.

```
data_Pr2MnPt9
_cell_length_a 5.4312
_cell_length_b 5.4312
_cell_length_c 26.7626
_cell_angle_alpha 90.00
_cell_angle_beta 90.00
_cell_angle_gamma 120.00
_symmetry_space_group_name_H-M 'R -3 m'
_symmetry_Int_Tables_number 166
_symmetry_space_group_name_Hall '-R 3 2"'
loop_
_atom_site_label
_atom_site_type_symbol
_atom_site_fract_x
_atom_site_fract_y
_atom_site_fract_z
Pr1 Pr 0.0000 0.0000 0.1362
Mn1 Mn 0.0000 0.0000 0.0000
Pt1 Pt 0.0000 0.0000 0.3327
Pt2 Pt 0.0000 0.0000 0.5000
Pt3 Pt 0.0034 0.5017 0.9165
```

Peak list (12 most intense, 2θ from 10° to 90°, sorted by position)
| 2θ (°) | Rel. int. | (hkl) |
| --- | --- | --- |
| 19.16 | 42.6 | 1 0 1 |
| 32.98 | 15.2 | 1 1 0 |
| 38.42 | 25.9 | 0 2 1 |
| 38.83 | 100.0 | 1 1 6 |
| 40.45 | 26.1 | 0 0 12 |
| 40.66 | 19.0 | 0 2 4 |
| 41.80 | 25.5 | 0 1 11 |
| 41.96 | 58.7 | 2 0 5 |
| 45.26 | 28.1 | 0 2 7 |
| 62.82 | 23.1 | 3 0 6 |
| 69.19 | 27.3 | 2 2 0 |
| 83.32 | 20.1 | 2 2 12 |

=====

(3)
ThAsBrO4: calculated PXRD pattern (Cu Kα, 1.54184 Å), based on a crystal structure in Alexandria, relaxed with GGA-PBE.
Neutral-atom scattering factors, no anomalous dispersion.

```
data_ThAsBrO4
_cell_length_a 10.500
_cell_length_b 7.236
_cell_length_c 6.927
_cell_angle_alpha 90.00
_cell_angle_beta 105.13
_cell_angle_gamma 90.00
_symmetry_space_group_name_H-M 'C 1 2/m 1'
_symmetry_Int_Tables_number 12
_symmetry_space_group_name_Hall '-C 2y'
loop_
_atom_site_label
_atom_site_type_symbol
_atom_site_fract_x
_atom_site_fract_y
_atom_site_fract_z
Th1 Th 0.243 0.000 0.146
As1 As 0.135 0.500 0.266
Br1 Br 0.019 0.000 0.758
O1 O 0.031 0.500 0.779
O2 O 0.192 0.319 0.144
O3 O 0.209 0.500 0.515
```

Peak list (12 most intense, 2θ from 10° to 90°, sorted by position)
| 2θ (°) | Rel. int. | (hkl) |
| --- | --- | --- |
| 13.24 | 39.7 | 0 0 1 |
| 17.50 | 33.9 | 2 0 0 |
| 18.50 | 24.8 | 1 1 -1 |
| 24.62 | 100.0 | 0 2 0 |
| 26.66 | 20.3 | 0 0 2 |
| 28.63 | 24.1 | 1 1 -2 |
| 29.07 | 44.1 | 3 1 -1 |
| 32.75 | 25.7 | 1 1 2 |
| 34.74 | 38.6 | 3 1 -2 |
| 46.18 | 17.9 | 3 3 -1 |
| 48.74 | 17.2 | 1 3 2 |
| 50.43 | 17.7 | 0 4 0 |

=====

(4)
AcPm5In3: calculated PXRD pattern (Cu Kα, 1.54184 Å), based on a crystal structure in Alexandria, relaxed with GGA-PBE.
Neutral-atom scattering factors, no anomalous dispersion.

```
data_AcPm5In3
_cell_length_a 9.6686
_cell_length_b 9.6686
_cell_length_c 7.0095
_cell_angle_alpha 90.00
_cell_angle_beta 90.00
_cell_angle_gamma 120.00
_symmetry_space_group_name_H-M 'P 63/m c m'
_symmetry_Int_Tables_number 193
_symmetry_space_group_name_Hall '-P 6c 2'
loop_
_atom_site_label
_atom_site_type_symbol
_atom_site_fract_x
_atom_site_fract_y
_atom_site_fract_z
Ac1 Ac 0.0000 0.0000 0.0000
Pm1 Pm 0.0000 0.3350 0.2500
Pm2 Pm 0.3333 0.6667 0.0000
In1 In 0.0000 0.3384 0.7500
```

Peak list (12 most intense, 2θ from 10° to 90°, sorted by position)
| 2θ (°) | Rel. int. | (hkl) |
| --- | --- | --- |
| 31.53 | 100.0 | 1 1 2 |
| 32.07 | 98.4 | 3 0 0 |
| 45.59 | 36.1 | 2 2 2 |
| 52.20 | 8.3 | 0 0 4 |
| 56.82 | 37.5 | 4 1 2 |
| 57.16 | 18.8 | 3 3 0 |
| 62.59 | 28.7 | 3 0 4 |
| 67.07 | 11.6 | 6 0 0 |
| 75.99 | 15.9 | 5 2 2 |
| 81.07 | 13.8 | 3 3 4 |
| 84.87 | 6.1 | 4 4 2 |
| 89.85 | 11.1 | 6 0 4 |

=====

(5)
Th2CuSi3: calculated PXRD pattern (Cu Kα, 1.54184 Å), based on a crystal structure in Alexandria, relaxed with GGA-PBE.
Neutral-atom scattering factors, no anomalous dispersion.

```
data_Th2CuSi3
_cell_length_a 4.1550
_cell_length_b 4.1550
_cell_length_c 8.1347
_cell_angle_alpha 90.00
_cell_angle_beta 90.00
_cell_angle_gamma 120.00
_symmetry_space_group_name_H-M 'P -6 m 2'
_symmetry_Int_Tables_number 187
_symmetry_space_group_name_Hall 'P -6 2'
loop_
_atom_site_label
_atom_site_type_symbol
_atom_site_fract_x
_atom_site_fract_y
_atom_site_fract_z
Th1 Th 0.0000 0.0000 0.2458
Cu1 Cu 0.3333 0.6667 0.5000
Si1 Si 0.3333 0.6667 0.0000
Si2 Si 0.6667 0.3333 0.0000
Si3 Si 0.6667 0.3333 0.5000
```

Peak list (12 most intense, 2θ from 10° to 90°, sorted by position)
| 2θ (°) | Rel. int. | (hkl) |
| --- | --- | --- |
| 21.85 | 13.6 | 0 0 2 |
| 24.74 | 51.3 | 1 0 0 |
| 33.24 | 100.0 | 1 0 2 |
| 43.57 | 31.3 | 1 1 0 |
| 44.55 | 9.7 | 0 0 4 |
| 49.25 | 10.8 | 1 1 2 |
| 50.74 | 7.9 | 2 0 0 |
| 51.63 | 14.9 | 1 0 4 |
| 55.88 | 23.2 | 2 0 2 |
| 64.08 | 19.9 | 1 1 4 |
| 73.41 | 20.9 | 2 1 2 |
| 74.84 | 9.7 | 1 0 6 |

=====

(6)
Ru7Au: calculated PXRD pattern (Cu Kα, 1.54184 Å), based on a crystal structure in Alexandria, relaxed with GGA-PBE.
Neutral-atom scattering factors, no anomalous dispersion.

```
data_Ru7Au
_cell_length_a 7.715
_cell_length_b 7.715
_cell_length_c 7.715
_cell_angle_alpha 90.00
_cell_angle_beta 90.00
_cell_angle_gamma 90.00
_symmetry_space_group_name_H-M 'F m -3 m'
_symmetry_Int_Tables_number 225
_symmetry_space_group_name_Hall '-F 4 2 3'
loop_
_atom_site_label
_atom_site_type_symbol
_atom_site_fract_x
_atom_site_fract_y
_atom_site_fract_z
Ru1 Ru 0.000 0.000 0.000
Ru2 Ru 0.000 0.250 0.250
Au1 Au 0.000 0.000 0.500
```

Peak list (12 most intense, 2θ from 10° to 90°, sorted by position)
| 2θ (°) | Rel. int. | (hkl) |
| --- | --- | --- |
| 19.93 | 5.9 | 1 1 1 |
| 23.06 | 3.2 | 2 0 0 |
| 32.84 | 2.8 | 2 2 0 |
| 38.71 | 3.7 | 3 1 1 |
| 40.51 | 100.0 | 2 2 2 |
| 47.12 | 48.3 | 4 0 0 |
| 51.64 | 1.7 | 3 3 1 |
| 53.09 | 1.6 | 4 2 0 |
| 68.84 | 30.6 | 4 4 0 |
| 72.48 | 1.3 | 5 3 1 |
| 83.03 | 36.8 | 6 2 2 |
| 87.63 | 10.9 | 4 4 4 |

=====

(7)
LiCaLu: calculated PXRD pattern (Cu Kα, 1.54184 Å), based on a crystal structure in Alexandria, relaxed with GGA-PBE.
Neutral-atom scattering factors, no anomalous dispersion.

```
data_LiCaLu
_cell_length_a 3.699
_cell_length_b 3.699
_cell_length_c 13.008
_cell_angle_alpha 90.00
_cell_angle_beta 90.00
_cell_angle_gamma 90.00
_symmetry_space_group_name_H-M 'I 4 m m'
_symmetry_Int_Tables_number 107
_symmetry_space_group_name_Hall 'I 4 -2'
loop_
_atom_site_label
_atom_site_type_symbol
_atom_site_fract_x
_atom_site_fract_y
_atom_site_fract_z
Li1 Li 0.000 0.000 0.000
Ca1 Ca 0.000 0.000 0.342
Lu1 Lu 0.000 0.000 0.639
```

Peak list (12 most intense, 2θ from 10° to 90°, sorted by position)
| 2θ (°) | Rel. int. | (hkl) |
| --- | --- | --- |
| 13.61 | 71.5 | 0 0 2 |
| 25.03 | 100.0 | 1 0 1 |
| 27.43 | 27.1 | 0 0 4 |
| 31.80 | 94.9 | 1 0 3 |
| 34.29 | 41.8 | 1 1 0 |
| 37.05 | 26.8 | 1 1 2 |
| 42.48 | 17.2 | 1 0 5 |
| 44.45 | 29.4 | 1 1 4 |
| 55.02 | 16.1 | 1 1 6 |
| 55.33 | 18.3 | 1 0 7 |
| 56.05 | 22.3 | 2 1 1 |
| 59.85 | 30.7 | 2 1 3 |

=====

(8)
Tb4Pr5Tl2: calculated PXRD pattern (Cu Kα, 1.54184 Å), based on a crystal structure in Alexandria, relaxed with GGA-PBE.
Neutral-atom scattering factors, no anomalous dispersion.

```
data_Tb4Pr5Tl2
_cell_length_a 8.959
_cell_length_b 3.630
_cell_length_c 11.257
_cell_angle_alpha 90.00
_cell_angle_beta 94.22
_cell_angle_gamma 90.00
_symmetry_space_group_name_H-M 'P 1 2/m 1'
_symmetry_Int_Tables_number 10
_symmetry_space_group_name_Hall '-P 2y'
loop_
_atom_site_label
_atom_site_type_symbol
_atom_site_fract_x
_atom_site_fract_y
_atom_site_fract_z
Tb1 Tb 0.153 0.000 0.391
Tb2 Tb 0.215 0.000 0.947
Pr1 Pr 0.199 0.500 0.666
Pr2 Pr 0.461 0.500 0.166
Pr3 Pr 0.500 0.500 0.500
Tl1 Tl 0.085 0.500 0.156
```

Peak list (12 most intense, 2θ from 10° to 90°, sorted by position)
| 2θ (°) | Rel. int. | (hkl) |
| --- | --- | --- |
| 29.30 | 29.7 | 0 1 2 |
| 30.00 | 72.0 | 3 0 0 |
| 30.48 | 35.4 | 3 0 -1 |
| 30.61 | 32.1 | 1 1 -2 |
| 31.38 | 100.0 | 1 1 2 |
| 31.76 | 37.8 | 2 1 0 |
| 32.33 | 52.9 | 2 0 3 |
| 32.74 | 50.3 | 1 0 -4 |
| 34.42 | 39.5 | 0 1 3 |
| 34.97 | 55.5 | 2 1 -2 |
| 50.27 | 36.9 | 0 2 0 |
| 55.24 | 30.5 | 0 1 6 |

=====

(9)
LiSc2Tl3Se6: calculated PXRD pattern (Cu Kα, 1.54184 Å), based on a crystal structure in Alexandria, relaxed with GGA-PBE.
Neutral-atom scattering factors, no anomalous dispersion.

```
data_LiSc2Tl3Se6
_cell_length_a 7.035
_cell_length_b 12.223
_cell_length_c 7.505
_cell_angle_alpha 90.00
_cell_angle_beta 108.33
_cell_angle_gamma 90.00
_symmetry_space_group_name_H-M 'C 1 2/m 1'
_symmetry_Int_Tables_number 12
_symmetry_space_group_name_Hall '-C 2y'
loop_
_atom_site_label
_atom_site_type_symbol
_atom_site_fract_x
_atom_site_fract_y
_atom_site_fract_z
Li1 Li 0.000 0.000 0.000
Sc1 Sc 0.000 0.330 0.000
Tl1 Tl 0.000 0.164 0.500
Tl2 Tl 0.000 0.500 0.500
Se1 Se 0.219 0.500 0.201
Se2 Se 0.243 0.173 0.207
```

Peak list (12 most intense, 2θ from 10° to 90°, sorted by position)
| 2θ (°) | Rel. int. | (hkl) |
| --- | --- | --- |
| 12.42 | 25.7 | 0 0 1 |
| 25.63 | 35.2 | 2 0 -1 |
| 30.39 | 100.0 | 2 0 -2 |
| 32.91 | 21.7 | 1 3 -2 |
| 33.01 | 10.7 | 2 0 1 |
| 37.88 | 10.7 | 0 0 3 |
| 42.43 | 22.4 | 1 3 -3 |
| 42.54 | 11.1 | 2 0 2 |
| 44.47 | 12.2 | 0 6 0 |
| 44.58 | 24.3 | 3 3 -1 |
| 54.82 | 12.5 | 2 6 -2 |
| 59.83 | 11.4 | 3 3 -4 |

=====

(10)
CeMnNiH6: calculated PXRD pattern (Cu Kα, 1.54184 Å), based on a crystal structure in Alexandria, relaxed with GGA-PBE.
Neutral-atom scattering factors, no anomalous dispersion.

```
data_CeMnNiH6
_cell_length_a 4.4375
_cell_length_b 4.4375
_cell_length_c 4.3567
_cell_angle_alpha 90.00
_cell_angle_beta 90.00
_cell_angle_gamma 120.00
_symmetry_space_group_name_H-M 'P -6 m 2'
_symmetry_Int_Tables_number 187
_symmetry_space_group_name_Hall 'P -6 2'
loop_
_atom_site_label
_atom_site_type_symbol
_atom_site_fract_x
_atom_site_fract_y
_atom_site_fract_z
Ce1 Ce 0.0000 0.0000 0.0000
Mn1 Mn 0.6667 0.3333 0.5000
Ni1 Ni 0.3333 0.6667 0.5000
H1 H 0.0034 0.5017 0.2457
```

Peak list (12 most intense, 2θ from 10° to 90°, sorted by position)
| 2θ (°) | Rel. int. | (hkl) |
| --- | --- | --- |
| 23.14 | 14.3 | 1 0 0 |
| 31.03 | 100.0 | 1 0 1 |
| 40.66 | 39.4 | 1 1 0 |
| 41.45 | 11.9 | 0 0 2 |
| 48.01 | 5.0 | 1 0 2 |
| 52.02 | 22.8 | 2 0 1 |
| 59.47 | 25.4 | 1 1 2 |
| 68.04 | 19.8 | 2 1 1 |
| 69.15 | 9.4 | 1 0 3 |
| 74.00 | 6.3 | 3 0 0 |
| 83.43 | 5.6 | 2 0 3 |
| 88.56 | 8.2 | 3 0 2 |

=====

(11)
Sr3PrPa2As6: calculated PXRD pattern (Cu Kα, 1.54184 Å), based on a crystal structure in Alexandria, relaxed with GGA-PBE.
Neutral-atom scattering factors, no anomalous dispersion.

```
data_Sr3PrPa2As6
_cell_length_a 7.437
_cell_length_b 12.880
_cell_length_c 7.557
_cell_angle_alpha 90.00
_cell_angle_beta 109.18
_cell_angle_gamma 90.00
_symmetry_space_group_name_H-M 'C 1 2/m 1'
_symmetry_Int_Tables_number 12
_symmetry_space_group_name_Hall '-C 2y'
loop_
_atom_site_label
_atom_site_type_symbol
_atom_site_fract_x
_atom_site_fract_y
_atom_site_fract_z
Sr1 Sr 0.000 0.000 0.000
Sr2 Sr 0.000 0.337 0.000
Pr1 Pr 0.000 0.500 0.500
Pa1 Pa 0.000 0.167 0.500
As1 As 0.225 0.000 0.720
As2 As 0.248 0.326 0.721
```

Peak list (12 most intense, 2θ from 10° to 90°, sorted by position)
| 2θ (°) | Rel. int. | (hkl) |
| --- | --- | --- |
| 12.40 | 23.6 | 0 0 1 |
| 24.29 | 8.1 | 1 3 0 |
| 25.36 | 13.1 | 2 0 0 |
| 29.24 | 100.0 | 1 3 1 |
| 38.09 | 7.9 | 2 0 -3 |
| 41.57 | 36.2 | 2 0 2 |
| 42.09 | 37.6 | 0 6 0 |
| 52.07 | 19.6 | 4 0 0 |
| 60.64 | 11.7 | 2 6 2 |
| 68.36 | 14.9 | 3 3 3 |
| 69.10 | 16.5 | 4 6 0 |
| 76.57 | 11.7 | 5 3 1 |

=====

(12)
KMn2BiC: calculated PXRD pattern (Cu Kα, 1.54184 Å), based on a crystal structure in Alexandria, relaxed with GGA-PBE.
Neutral-atom scattering factors, no anomalous dispersion.

```
data_KMn2BiC
_cell_length_a 5.268
_cell_length_b 5.268
_cell_length_c 5.030
_cell_angle_alpha 90.00
_cell_angle_beta 90.00
_cell_angle_gamma 90.00
_symmetry_space_group_name_H-M 'P 4/m m m'
_symmetry_Int_Tables_number 123
_symmetry_space_group_name_Hall '-P 4 2'
loop_
_atom_site_label
_atom_site_type_symbol
_atom_site_fract_x
_atom_site_fract_y
_atom_site_fract_z
K1 K 0.000 0.000 0.000
Mn1 Mn 0.000 0.500 0.500
Bi1 Bi 0.500 0.500 0.500
C1 C 0.500 0.500 0.000
```

Peak list (12 most intense, 2θ from 10° to 90°, sorted by position)
| 2θ (°) | Rel. int. | (hkl) |
| --- | --- | --- |
| 16.83 | 65.3 | 1 0 0 |
| 17.63 | 68.3 | 0 0 1 |
| 23.89 | 19.9 | 1 1 0 |
| 24.47 | 100.0 | 1 0 1 |
| 34.04 | 53.7 | 2 0 0 |
| 35.70 | 23.5 | 0 0 2 |
| 38.20 | 18.0 | 2 1 0 |
| 38.58 | 40.2 | 2 0 1 |
| 42.36 | 48.2 | 2 1 1 |
| 48.90 | 18.7 | 2 2 0 |
| 50.15 | 34.6 | 2 0 2 |
| 62.00 | 17.9 | 2 2 2 |